Diffraction record for Ba3GdIrRuO9. The X-ray diffraction stick pattern is simulated, not measured: it uses the GGA-PBE geometry in Alexandria and a wavelength of 1.5418 Å.

Crystal structure
Unit cell a=5.9758 b=5.9758 c=14.7746 alpha=90.00 beta=90.00 gamma=120.00
Space group P6_3mc (No. 186)
Asymmetric unit:
Ba1 0.0000 0.0000 0.0000
Ba2 0.3333 0.6667 0.1567
Ba3 0.3333 0.6667 0.8457
Gd1 0.0000 0.0000 0.2503
Ir1 0.3333 0.6667 0.4141
Ru1 0.3333 0.6667 0.5849
O1 0.0203 0.5102 0.4995
O2 0.1772 0.3545 0.3362
O3 0.1770 0.3541 0.6594

Main lines, by angle (2θ from 10° to 90°):
hkl 1 0 3, 24.96 deg, 3.568 Å, rel. 18.8; hkl 1 0 4, 29.72 deg, 3.006 Å, rel. 62.7; hkl 1 1 0, 29.90 deg, 2.988 Å, rel. 100.0; hkl 2 0 4, 42.66 deg, 2.119 Å, rel. 34.7; hkl 2 1 4, 52.97 deg, 1.729 Å, rel. 24.0; hkl 3 0 0, 53.09 deg, 1.725 Å, rel. 20.2; hkl 2 2 0, 62.13 deg, 1.494 Å, rel. 18.0; hkl 4 1 0, 86.06 deg, 1.130 Å, rel. 17.7